# Pr8Ag3Pt2
Calculated powder diffraction line list, CuKα. Input: a crystal structure in Alexandria, relaxed with PBE.
Peak positions follow from Bragg's law for the DFT cell and can differ from measured ones.

Atomic structure:
```
data_Pr8Ag3Pt2
_chemical_formula_sum 'Pr8 Ag3 Pt2'
_symmetry_space_group_name_H-M 'P 1'
_symmetry_Int_Tables_number 1
_cell_length_a 8.9172
_cell_length_b 8.9172
_cell_length_c 6.5116
_cell_angle_alpha 98.57
_cell_angle_beta 98.57
_cell_angle_gamma 51.53
loop_
_symmetry_equiv_pos_as_xyz
'x,y,z'
loop_
_atom_site_label
_atom_site_fract_x
_atom_site_fract_y
_atom_site_fract_z
Pr1 0.0755 0.0755 0.3208
Pr2 0.1081 0.6158 0.1308
Pr3 0.3140 0.3140 0.6229
Pr4 0.3842 0.8919 0.8692
Pr5 0.6158 0.1081 0.1308
Pr6 0.6860 0.6860 0.3771
Pr7 0.8919 0.3842 0.8692
Pr8 0.9245 0.9245 0.6792
Ag1 0.3274 0.6726 0.5000
Ag2 0.5000 0.5000 0.0000
Ag3 0.6726 0.3274 0.5000
Pt1 0.2337 0.2337 0.1743
Pt2 0.7663 0.7663 0.8257
```

Largest 6 diffraction maxima, in order of rising 2θ, 5 to 70 degrees two-theta:
3.159 Å, rel. 97.3; 2.971 Å, rel. 28.1; 2.838 Å, rel. 100.0; 2.818 Å, rel. 55.1; 2.772 Å, rel. 72.5; 2.443 Å, rel. 44.9

***

# Rb2AlCl2F4
Calculated powder diffraction line list, CuKα. Input: a crystal structure in Alexandria, relaxed with PBE.
Peak positions follow from Bragg's law for the DFT cell and can differ from measured ones.

Atomic structure:
```
data_Rb2AlCl2F4
_chemical_formula_sum 'Rb2 Al1 Cl2 F4'
_symmetry_space_group_name_H-M 'P 1'
_symmetry_Int_Tables_number 1
_cell_length_a 6.2376
_cell_length_b 6.2376
_cell_length_c 6.2376
_cell_angle_alpha 113.18
_cell_angle_beta 113.18
_cell_angle_gamma 102.29
loop_
_symmetry_equiv_pos_as_xyz
'x,y,z'
loop_
_atom_site_label
_atom_site_fract_x
_atom_site_fract_y
_atom_site_fract_z
Rb1 0.2500 0.7500 0.5000
Rb2 0.7500 0.2500 0.5000
Al1 0.0000 0.0000 0.0000
Cl1 0.3356 0.3356 0.0000
Cl2 0.6644 0.6644 0.0000
F1 0.1814 0.1814 0.3628
F2 0.1814 0.8186 0.0000
F3 0.8186 0.1814 0.0000
F4 0.8186 0.8186 0.6372
```

Largest 6 diffraction maxima, in order of rising 2θ, 5 to 70 degrees two-theta:
3.435 Å, rel. 99.3; 3.047 Å, rel. 95.6; 2.581 Å, rel. 100.0; 2.429 Å, rel. 72.0; 1.899 Å, rel. 28.2; 1.536 Å, rel. 27.0